The following is a computed PXRD pattern of Mg14CrNi. It was derived from a structure optimized by DFT (GGA-PBE), using Cu Kα.

Crystal structure
a = 9.885 Å, b = 6.243 Å, c = 6.243 Å
α = 60.11°, β = 90.00°, γ = 90.00°
Fractional coordinates of all 16 atoms:
1 Mg 0.000 0.000 0.000
2 Mg 0.000 0.003 0.501
3 Mg 0.000 0.499 0.499
4 Mg 0.000 0.501 0.003
5 Mg 0.251 0.665 0.665
6 Mg 0.261 0.163 0.163
7 Mg 0.267 0.168 0.676
8 Mg 0.267 0.676 0.168
9 Mg 0.500 0.502 0.995
10 Mg 0.500 0.995 0.502
11 Mg 0.733 0.168 0.676
12 Mg 0.733 0.676 0.168
13 Mg 0.739 0.163 0.163
14 Mg 0.749 0.665 0.665
15 Cr 0.500 0.504 0.504
16 Ni 0.500 0.002 0.002

The 6 most intense peaks (10° ≤ 2θ ≤ 80°), sorted by position:
2θ 33.12, I 26
2θ 36.35, I 24
2θ 37.92, I 100
2θ 49.99, I 15
2θ 66.44, I 16
2θ 71.46, I 18